Diffraction record for KLiY2Mo4O16. The PXRD pattern is computed, not measured: it uses DFT lattice parameters and positions (GGA+U) and copper Kα.

Crystal structure
a = 6.9213 Å, b = 6.9213 Å, c = 19.8373 Å
α = 91.60°, β = 91.60°, γ = 135.10°
Positions (direct):
K 0.0321 0.9679 0.7500
K 0.9679 0.0321 0.2500
Li 0.3125 0.6875 0.7500
Li 0.6875 0.3125 0.2500
Y 0.1456 0.8523 0.5316
Y 0.1477 0.8544 0.9684
Y 0.8523 0.1456 0.0316
Y 0.8544 0.1477 0.4684
Mo 0.2381 0.7285 0.3543
Mo 0.2715 0.7619 0.1457
Mo 0.4153 0.5397 0.9086
Mo 0.4603 0.5847 0.5914
Mo 0.5397 0.4153 0.4086
Mo 0.5847 0.4603 0.0914
Mo 0.7285 0.2381 0.8543
Mo 0.7619 0.2715 0.6457
O 0.0157 0.7463 0.1690
O 0.0533 0.5769 0.4336
O 0.0624 0.4735 0.2868
O 0.0988 0.4092 0.1298
O 0.1685 0.5027 0.9595
O 0.2181 0.2583 0.5383
O 0.2234 0.3214 0.4001
O 0.2537 0.9843 0.3310
O 0.2583 0.2181 0.0383
O 0.3109 0.4947 0.6701
O 0.3214 0.2234 0.9001
O 0.4092 0.0988 0.6298
O 0.4231 0.9467 0.0664
O 0.4735 0.0624 0.7868
O 0.4947 0.3109 0.1701
O 0.4973 0.8315 0.5405
O 0.5027 0.1685 0.4595
O 0.5053 0.6891 0.8299
O 0.5265 0.9376 0.2132
O 0.5769 0.0533 0.9336
O 0.5908 0.9012 0.3702
O 0.6786 0.7766 0.0999
O 0.6891 0.5053 0.3299
O 0.7417 0.7819 0.9617
O 0.7463 0.0157 0.6690
O 0.7766 0.6786 0.5999
O 0.7819 0.7417 0.4617
O 0.8315 0.4973 0.0405
O 0.9012 0.5908 0.8702
O 0.9376 0.5265 0.7132
O 0.9467 0.4231 0.5664
O 0.9843 0.2537 0.8310

Main lines, sorted by position (2θ = 15–90°):
2theta	intensity
24.76	51
26.52	66
27.06	58
27.48	87
28.07	100
29.59	57
30.04	67
30.50	53
34.01	44
44.70	38